Structure and simulated PXRD pattern of AgSnN2O (the GGA-PBE geometry in Alexandria; Cu Kα (weighted mean of Kα1 and Kα2)).
Neutral-atom scattering factors, no anomalous dispersion.

Most intense lines, 10° ≤ 2θ ≤ 80°, low angle first:
| two_theta | I_rel |
| --- | --- |
| 29.70 | 55.9 |
| 30.37 | 100.0 |
| 42.51 | 32.0 |
| 44.44 | 14.0 |
| 53.13 | 42.4 |
| 54.36 | 20.9 |
| 61.68 | 10.0 |
| 63.18 | 18.5 |
| 69.94 | 9.9 |
| 79.14 | 9.6 |

Atomic structure:
a = 4.253 Å, b = 4.253 Å, c = 4.077 Å
α = 90.00°, β = 90.00°, γ = 90.00°
Fractional positions:
Ag 0.000 0.000 0.000
Sn 0.500 0.500 0.500
N 0.000 0.500 0.500
N 0.500 0.000 0.500
O 0.500 0.500 0.000

Structure and simulated PXRD pattern of Hf2MgTc2 (the GGA-PBE geometry in Alexandria; Cu Kα (weighted mean of Kα1 and Kα2)).
Neutral-atom scattering factors, no anomalous dispersion.

Most intense lines, 10° ≤ 2θ ≤ 80°, low angle first:
| two_theta | I_rel |
| --- | --- |
| 16.90 | 28.3 |
| 24.00 | 9.4 |
| 26.88 | 8.9 |
| 37.88 | 100.0 |
| 38.38 | 29.8 |
| 49.13 | 11.6 |
| 52.33 | 12.2 |
| 57.99 | 11.0 |
| 68.07 | 11.9 |
| 74.29 | 20.8 |

Atomic structure:
a = 7.417 Å, b = 7.417 Å, c = 3.403 Å
α = 90.00°, β = 90.00°, γ = 90.00°
Fractional positions:
Hf 0.153 0.347 0.000
Hf 0.347 0.847 0.000
Hf 0.653 0.153 0.000
Hf 0.847 0.653 0.000
Mg 0.000 0.000 0.500
Mg 0.500 0.500 0.500
Tc 0.144 0.644 0.500
Tc 0.356 0.144 0.500
Tc 0.644 0.856 0.500
Tc 0.856 0.356 0.500

Structure and simulated PXRD pattern of CsTbMgI6 (the GGA-PBE geometry in Alexandria; Cu Kα (weighted mean of Kα1 and Kα2)).
Neutral-atom scattering factors, no anomalous dispersion.

Most intense lines, 10° ≤ 2θ ≤ 80°, low angle first:
| two_theta | I_rel |
| --- | --- |
| 10.10 | 33.4 |
| 16.61 | 58.0 |
| 25.06 | 100.0 |
| 30.76 | 85.3 |
| 36.77 | 24.8 |
| 38.58 | 22.4 |
| 40.17 | 36.4 |
| 40.95 | 18.6 |
| 47.69 | 19.8 |
| 51.41 | 23.7 |

Atomic structure:
a = 7.776 Å, b = 7.776 Å, c = 8.754 Å
α = 90.00°, β = 90.00°, γ = 120.00°
Fractional positions:
Cs 0.000 0.000 0.000
Tb 0.333 0.667 0.500
Mg 0.667 0.333 0.500
I 0.376 0.009 0.699
I 0.376 0.367 0.301
I 0.633 0.009 0.301
I 0.633 0.624 0.699
I 0.991 0.367 0.699
I 0.991 0.624 0.301

Structure and simulated PXRD pattern of Tb8Dy2Th3 (the GGA-PBE geometry in Alexandria; Cu Kα (weighted mean of Kα1 and Kα2)).
Neutral-atom scattering factors, no anomalous dispersion.

Most intense lines, 10° ≤ 2θ ≤ 80°, low angle first:
| two_theta | I_rel |
| --- | --- |
| 30.92 | 100.0 |
| 35.25 | 17.9 |
| 35.54 | 17.0 |
| 36.77 | 15.8 |
| 50.92 | 12.3 |
| 51.85 | 12.1 |
| 60.58 | 15.0 |
| 60.97 | 13.6 |
| 62.62 | 13.7 |
| 64.44 | 12.0 |

Atomic structure:
a = 7.962 Å, b = 5.093 Å, c = 11.005 Å
α = 90.00°, β = 99.45°, γ = 90.00°
Fractional positions:
Tb 0.067 0.000 0.358
Tb 0.088 0.500 0.862
Tb 0.355 0.500 0.284
Tb 0.361 0.000 0.783
Tb 0.639 0.000 0.217
Tb 0.645 0.500 0.716
Tb 0.912 0.500 0.138
Tb 0.933 0.000 0.642
Dy 0.195 0.000 0.076
Dy 0.805 0.000 0.924
Th 0.218 0.500 0.569
Th 0.500 0.000 0.500
Th 0.782 0.500 0.431

Structure and simulated PXRD pattern of Pa4Co2Si5 (the GGA-PBE geometry in Alexandria; Cu Kα (weighted mean of Kα1 and Kα2)).
Neutral-atom scattering factors, no anomalous dispersion.

Most intense lines, 10° ≤ 2θ ≤ 80°, low angle first:
| two_theta | I_rel |
| --- | --- |
| 22.72 | 28.7 |
| 26.22 | 61.7 |
| 26.42 | 26.0 |
| 34.96 | 100.0 |
| 35.11 | 52.8 |
| 46.44 | 28.4 |
| 54.03 | 13.1 |
| 59.28 | 18.7 |
| 67.79 | 16.1 |
| 78.61 | 13.1 |

Atomic structure:
a = 6.800 Å, b = 3.914 Å, c = 7.809 Å
α = 90.00°, β = 90.47°, γ = 90.00°
Fractional positions:
Pa 0.225 0.000 0.359
Pa 0.239 0.000 0.892
Pa 0.761 0.000 0.108
Pa 0.775 0.000 0.641
Co 0.093 0.500 0.136
Co 0.907 0.500 0.864
Si 0.114 0.500 0.625
Si 0.437 0.500 0.146
Si 0.500 0.500 0.500
Si 0.563 0.500 0.854
Si 0.886 0.500 0.375

Structure and simulated PXRD pattern of AcTe2O8 (the GGA-PBE geometry in Alexandria; Cu Kα (weighted mean of Kα1 and Kα2)).
Neutral-atom scattering factors, no anomalous dispersion.

Most intense lines, 10° ≤ 2θ ≤ 80°, low angle first:
| two_theta | I_rel |
| --- | --- |
| 17.79 | 61.7 |
| 27.44 | 100.0 |
| 27.80 | 19.8 |
| 32.58 | 21.2 |
| 37.36 | 20.6 |
| 43.35 | 13.9 |
| 44.98 | 33.7 |
| 51.91 | 16.0 |
| 55.06 | 27.3 |
| 72.43 | 19.2 |

Atomic structure:
a = 7.088 Å, b = 7.088 Å, c = 7.088 Å
α = 134.38°, β = 134.38°, γ = 66.50°
Fractional positions:
Ac 0.000 0.000 0.000
Te 0.250 0.750 0.500
Te 0.750 0.250 0.500
O 0.029 0.542 0.854
O 0.175 0.029 0.487
O 0.312 0.458 0.487
O 0.458 0.971 0.146
O 0.542 0.688 0.513
O 0.688 0.175 0.146
O 0.825 0.312 0.854
O 0.971 0.825 0.513

Structure and simulated PXRD pattern of Na5InS4 (the GGA-PBE geometry in Alexandria; Cu Kα (weighted mean of Kα1 and Kα2)).
Neutral-atom scattering factors, no anomalous dispersion.

Most intense lines, 10° ≤ 2θ ≤ 80°, low angle first:
| two_theta | I_rel |
| --- | --- |
| 15.06 | 82.6 |
| 16.40 | 43.2 |
| 17.01 | 31.1 |
| 20.07 | 56.6 |
| 23.07 | 41.5 |
| 26.43 | 31.8 |
| 34.41 | 45.7 |
| 35.27 | 100.0 |
| 39.92 | 89.7 |
| 40.82 | 47.1 |

Atomic structure:
a = 6.834 Å, b = 8.842 Å, c = 7.881 Å
α = 90.00°, β = 91.13°, γ = 90.00°
Fractional positions:
Na 0.000 0.000 0.000
Na 0.000 0.500 0.000
Na 0.025 0.250 0.469
Na 0.330 0.250 0.839
Na 0.344 0.520 0.334
Na 0.344 0.980 0.334
Na 0.656 0.020 0.666
Na 0.656 0.480 0.666
Na 0.670 0.750 0.161
Na 0.975 0.750 0.531
In 0.361 0.750 0.824
In 0.639 0.250 0.176
S 0.233 0.519 0.671
S 0.233 0.981 0.671
S 0.240 0.750 0.120
S 0.272 0.250 0.178
S 0.728 0.750 0.822
S 0.760 0.250 0.880
S 0.767 0.019 0.329
S 0.767 0.481 0.329

Structure and simulated PXRD pattern of BaCrOs4 (the GGA-PBE geometry in Alexandria; Cu Kα (weighted mean of Kα1 and Kα2)).
Neutral-atom scattering factors, no anomalous dispersion.

Most intense lines, 10° ≤ 2θ ≤ 80°, low angle first:
| two_theta | I_rel |
| --- | --- |
| 20.15 | 41.2 |
| 33.20 | 10.6 |
| 39.14 | 100.0 |
| 40.96 | 64.6 |
| 47.66 | 17.9 |
| 52.24 | 11.3 |
| 59.31 | 3.8 |
| 63.31 | 32.9 |
| 69.69 | 31.2 |
| 73.38 | 8.0 |

Atomic structure:
a = 5.397 Å, b = 5.397 Å, c = 5.397 Å
α = 60.00°, β = 60.00°, γ = 60.00°
Fractional positions:
Ba 0.000 0.000 0.000
Cr 0.750 0.750 0.750
Os 0.376 0.376 0.376
Os 0.376 0.376 0.871
Os 0.376 0.871 0.376
Os 0.871 0.376 0.376